Theoretical PXRD pattern of Tb2Y3Ho9 for Cu Ka, from a cell relaxed with PBE.
Neutral-atom scattering factors, no anomalous dispersion.

Atomic structure:
Unit cell a=5.396 b=8.290 c=10.555 alpha=97.34 beta=100.62 gamma=98.35
Positions (direct):
1 Tb 0.000 0.000 0.000
2 Tb 0.043 0.960 0.482
3 Y 0.229 0.573 0.574
4 Y 0.521 0.980 0.241
5 Y 0.814 0.386 0.907
6 Ho 0.002 0.672 0.177
7 Ho 0.041 0.287 0.304
8 Ho 0.193 0.262 0.753
9 Ho 0.413 0.678 0.943
10 Ho 0.430 0.349 0.103
11 Ho 0.522 0.980 0.740
12 Ho 0.613 0.611 0.379
13 Ho 0.630 0.281 0.539
14 Ho 0.851 0.698 0.729

Peak list (8 most intense, 2θ from 10° to 90°, sorted by position)
2θ (°)  I_rel
29.79  18
30.69  28
30.91  59
31.16  100
33.19  33
33.61  21
35.04  27
53.03  17



Theoretical PXRD pattern of Dy5HfZn6 for Cu Ka, from a cell relaxed with PBE.
Neutral-atom scattering factors, no anomalous dispersion.

Atomic structure:
Unit cell a=8.634 b=8.634 c=4.963 alpha=106.64 beta=106.64 gamma=48.04
Positions (direct):
1 Dy 0.000 0.000 0.000
2 Dy 0.163 0.163 0.663
3 Dy 0.326 0.326 0.327
4 Dy 0.674 0.674 0.673
5 Dy 0.837 0.837 0.337
6 Hf 0.500 0.500 0.000
7 Zn 0.107 0.576 0.841
8 Zn 0.279 0.721 0.500
9 Zn 0.424 0.893 0.159
10 Zn 0.576 0.107 0.841
11 Zn 0.721 0.279 0.500
12 Zn 0.893 0.424 0.159

Peak list (8 most intense, 2θ from 10° to 90°, sorted by position)
2θ (°)  I_rel
25.32  23
35.98  20
36.13  100
51.96  14
64.76  13
65.04  21
76.62  8
87.79  10



Theoretical PXRD pattern of Nd5DyHo3 for Cu Ka, from a cell relaxed with PBE.
Neutral-atom scattering factors, no anomalous dispersion.

Atomic structure:
Unit cell a=10.542 b=10.542 c=11.795 alpha=121.46 beta=121.46 gamma=34.74
Positions (direct):
1 Nd 0.029 0.698 0.344
2 Nd 0.097 0.903 0.750
3 Nd 0.146 0.493 0.669
4 Nd 0.302 0.971 0.156
5 Nd 0.493 0.146 0.169
6 Nd 0.507 0.854 0.831
7 Nd 0.698 0.029 0.844
8 Nd 0.854 0.507 0.331
9 Nd 0.903 0.097 0.250
10 Nd 0.971 0.302 0.656
11 Dy 0.393 0.607 0.250
12 Dy 0.607 0.393 0.750
13 Ho 0.107 0.540 0.971
14 Ho 0.460 0.893 0.529
15 Ho 0.500 0.500 0.000
16 Ho 0.500 0.500 0.500
17 Ho 0.540 0.107 0.471
18 Ho 0.893 0.460 0.029

Peak list (8 most intense, 2θ from 10° to 90°, sorted by position)
2θ (°)  I_rel
28.40  90
29.21  94
29.93  71
30.32  58
31.87  100
32.68  57
33.65  98
39.67  43



Theoretical PXRD pattern of NaLa2P2 for Cu Ka, from a cell relaxed with PBE.
Neutral-atom scattering factors, no anomalous dispersion.

Atomic structure:
Unit cell a=8.017 b=8.017 c=3.947 alpha=90.00 beta=90.00 gamma=90.00
Positions (direct):
1 Na 0.000 0.000 0.000
2 Na 0.500 0.500 0.000
3 La 0.149 0.351 0.500
4 La 0.351 0.851 0.500
5 La 0.649 0.149 0.500
6 La 0.851 0.649 0.500
7 P 0.158 0.658 0.000
8 P 0.342 0.158 0.000
9 P 0.658 0.842 0.000
10 P 0.842 0.342 0.000

Peak list (8 most intense, 2θ from 10° to 90°, sorted by position)
2θ (°)  I_rel
15.63  21
22.53  18
24.84  43
27.54  13
33.78  100
35.41  29
59.35  13
67.21  20



Theoretical PXRD pattern of LaCe2Bi2 for Cu Ka, from a cell relaxed with PBE.
Neutral-atom scattering factors, no anomalous dispersion.

Atomic structure:
Unit cell a=8.384 b=8.384 c=8.384 alpha=135.74 beta=116.44 gamma=80.71
Positions (direct):
1 La 0.386 0.136 0.250
2 La 0.614 0.864 0.750
3 Ce 0.036 0.639 0.398
4 Ce 0.259 0.361 0.898
5 Ce 0.741 0.639 0.102
6 Ce 0.964 0.361 0.602
7 Bi 0.123 0.873 0.250
8 Bi 0.348 0.598 0.750
9 Bi 0.652 0.402 0.250
10 Bi 0.877 0.127 0.750

Peak list (8 most intense, 2θ from 10° to 90°, sorted by position)
2θ (°)  I_rel
20.11  73
27.93  87
28.26  100
32.47  31
34.66  31
34.93  37
36.50  82
40.15  67



Theoretical PXRD pattern of Er12Hg5Pt2 for Cu Ka, from a cell relaxed with PBE.
Neutral-atom scattering factors, no anomalous dispersion.

Atomic structure:
Unit cell a=8.953 b=8.953 c=8.766 alpha=104.80 beta=104.80 gamma=51.73
Positions (direct):
1 Er 0.013 0.013 0.315
2 Er 0.059 0.589 0.330
3 Er 0.086 0.676 0.953
4 Er 0.324 0.914 0.047
5 Er 0.402 0.402 0.659
6 Er 0.411 0.941 0.670
7 Er 0.589 0.059 0.330
8 Er 0.598 0.598 0.341
9 Er 0.676 0.086 0.953
10 Er 0.914 0.324 0.047
11 Er 0.941 0.411 0.670
12 Er 0.987 0.987 0.685
13 Hg 0.204 0.204 0.390
14 Hg 0.262 0.262 0.961
15 Hg 0.500 0.500 0.000
16 Hg 0.738 0.738 0.039
17 Hg 0.796 0.796 0.610
18 Pt 0.294 0.706 0.500
19 Pt 0.706 0.294 0.500

Peak list (8 most intense, 2θ from 10° to 90°, sorted by position)
2θ (°)  I_rel
31.17  100
31.94  35
32.61  23
32.79  24
33.15  27
36.41  38
37.10  21
46.50  22



Theoretical PXRD pattern of Ho4TlBi3 for Cu Ka, from a cell relaxed with PBE.
Neutral-atom scattering factors, no anomalous dispersion.

Atomic structure:
Unit cell a=6.289 b=6.289 c=6.289 alpha=90.00 beta=90.00 gamma=90.00
Positions (direct):
1 Ho 0.000 0.000 0.000
2 Ho 0.000 0.500 0.500
3 Ho 0.500 0.000 0.500
4 Ho 0.500 0.500 0.000
5 Tl 0.500 0.500 0.500
6 Bi 0.000 0.000 0.500
7 Bi 0.000 0.500 0.000
8 Bi 0.500 0.000 0.000

Peak list (8 most intense, 2θ from 10° to 90°, sorted by position)
2θ (°)  I_rel
24.52  2
28.38  100
40.57  78
50.25  28
58.72  13
66.49  37
73.81  28
87.80  9



Theoretical PXRD pattern of Pu2Ni5As4 for Cu Ka, from a cell relaxed with PBE.
Neutral-atom scattering factors, no anomalous dispersion.

Atomic structure:
Unit cell a=8.426 b=7.391 c=5.573 alpha=79.74 beta=59.67 gamma=40.60
Positions (direct):
1 Pu 0.142 0.142 0.858
2 Pu 0.858 0.858 0.142
3 Ni 0.000 0.000 0.500
4 Ni 0.250 0.250 0.250
5 Ni 0.500 0.500 0.000
6 Ni 0.500 0.500 0.500
7 Ni 0.750 0.750 0.750
8 As 0.216 0.525 0.475
9 As 0.475 0.784 0.216
10 As 0.525 0.216 0.784
11 As 0.784 0.475 0.525

Peak list (8 most intense, 2θ from 10° to 90°, sorted by position)
2θ (°)  I_rel
27.07  56
31.86  40
32.81  54
37.80  100
38.01  45
42.48  61
57.40  25
67.26  30



Theoretical PXRD pattern of Rb3Tm3SnTe8 for Cu Ka, from a cell relaxed with PBE.
Neutral-atom scattering factors, no anomalous dispersion.

Atomic structure:
Unit cell a=8.798 b=8.798 c=10.152 alpha=115.76 beta=115.76 gamma=59.88
Positions (direct):
1 Rb 0.000 0.000 0.000
2 Rb 0.000 0.500 0.000
3 Rb 0.500 0.000 0.000
4 Tm 0.000 0.500 0.500
5 Tm 0.500 0.000 0.500
6 Tm 0.500 0.500 0.500
7 Sn 0.000 0.000 0.500
8 Te 0.231 0.231 0.694
9 Te 0.231 0.732 0.694
10 Te 0.268 0.268 0.303
11 Te 0.268 0.769 0.306
12 Te 0.732 0.231 0.694
13 Te 0.732 0.732 0.697
14 Te 0.769 0.268 0.306
15 Te 0.769 0.769 0.306

Peak list (8 most intense, 2θ from 10° to 90°, sorted by position)
2θ (°)  I_rel
10.07  49
27.05  100
33.48  21
36.06  33
41.06  41
44.70  14
49.90  12
66.47  10



Theoretical PXRD pattern of Li8TlGa2 for Cu Ka, from a cell relaxed with PBE.
Neutral-atom scattering factors, no anomalous dispersion.

Atomic structure:
Unit cell a=6.810 b=6.810 c=4.538 alpha=90.00 beta=90.00 gamma=105.26
Positions (direct):
1 Li 0.160 0.160 0.000
2 Li 0.196 0.463 0.500
3 Li 0.242 0.758 0.000
4 Li 0.463 0.196 0.500
5 Li 0.537 0.804 0.500
6 Li 0.758 0.242 0.000
7 Li 0.804 0.537 0.500
8 Li 0.840 0.840 0.000
9 Tl 0.500 0.500 0.000
10 Ga 0.114 0.886 0.500
11 Ga 0.886 0.114 0.500

Peak list (8 most intense, 2θ from 10° to 90°, sorted by position)
2θ (°)  I_rel
16.38  32
21.50  42
23.83  100
26.96  30
38.74  23
39.14  35
43.21  18
44.73  24



Theoretical PXRD pattern of NpU2As2Ru2 for Cu Ka, from a cell relaxed with PBE.
Neutral-atom scattering factors, no anomalous dispersion.

Atomic structure:
Unit cell a=8.362 b=8.362 c=8.362 alpha=30.78 beta=30.78 gamma=30.78
Positions (direct):
1 Np 0.000 0.000 0.000
2 U 0.144 0.144 0.144
3 U 0.856 0.856 0.856
4 As 0.270 0.270 0.270
5 As 0.730 0.730 0.730
6 Ru 0.440 0.440 0.440
7 Ru 0.560 0.560 0.560

Peak list (8 most intense, 2θ from 10° to 90°, sorted by position)
2θ (°)  I_rel
11.12  23
23.44  25
35.17  100
40.66  76
54.83  28
59.27  16
70.45  27
73.99  14



Theoretical PXRD pattern of BMo4 for Cu Ka, from a cell relaxed with PBE.
Neutral-atom scattering factors, no anomalous dispersion.

Atomic structure:
Unit cell a=4.197 b=4.197 c=4.197 alpha=90.00 beta=90.00 gamma=90.00
Positions (direct):
1 B 0.000 0.000 0.000
2 Mo 0.000 0.000 0.500
3 Mo 0.000 0.500 0.000
4 Mo 0.500 0.000 0.000
5 Mo 0.500 0.500 0.500

Peak list (5 most intense, 2θ from 10° to 90°, sorted by position)
2θ (°)  I_rel
37.10  100
43.11  52
62.60  33
75.06  37
79.03  11